LiFe3SiPO8: theoretical powder diffractogram (Cu Kα, 1.54184 Å), based on a cell relaxed with GGA+U.

```
LiFe3SiPO8
1.0
5.5583 0.0000 0.0000
0.0000 7.1274 0.0000
-5.3468 0.0000 8.3342
Li Fe Si P O
2 6 2 2 16
Direct
0.0000 0.1986 0.0000
0.0000 0.8014 0.5000
0.2941 0.0545 0.8037
0.2941 0.9455 0.3037
0.3260 0.3435 0.5556
0.3260 0.6565 0.0556
0.6049 0.4257 0.3649
0.6049 0.5743 0.8649
0.0301 0.4889 0.7547
0.0301 0.5111 0.2547
0.6707 0.0507 0.1694
0.6707 0.9493 0.6694
0.0161 0.4572 0.9179
0.0161 0.5428 0.4179
0.1894 0.3034 0.2847
0.1894 0.6966 0.7847
0.2776 0.3523 0.7558
0.2776 0.6477 0.2558
0.3917 0.0623 0.6242
0.3917 0.9377 0.1242
0.6380 0.2404 0.2271
0.6380 0.7596 0.7271
0.6857 0.0635 0.0170
0.6857 0.9365 0.5170
0.7173 0.4362 0.5946
0.7173 0.5638 0.0946
0.9325 0.0613 0.8007
0.9325 0.9387 0.3007
```

Principal peaks in the range 10 to 80 degrees two-theta, low angle first:
- (0 1 1), 2θ = 16.4°, 5.417 Å, I 47
- (1 0 0), 2θ = 19.0°, 4.678 Å, I 53
- (0 0 2), 2θ = 21.3°, 4.167 Å, I 45
- (0 2 0), 2θ = 25.0°, 3.564 Å, I 77
- (0 2 1), 2θ = 27.2°, 3.277 Å, I 100
- (1 1 1), 2θ = 29.3°, 3.050 Å, I 73
- (1 2 -1), 2θ = 29.8°, 2.997 Å, I 38
- (2 1 -2), 2θ = 34.7°, 2.589 Å, I 89
- (2 1 -1), 2θ = 36.1°, 2.489 Å, I 39
- (1 0 -4), 2θ = 36.5°, 2.460 Å, I 80
- (1 1 2), 2θ = 38.0°, 2.368 Å, I 46
- (1 1 -4), 2θ = 38.7°, 2.325 Å, I 30